The following is a simulated X-ray powder pattern of MnCrH. It was derived from a crystal structure in Alexandria, relaxed with PBE, using Cu Kα (weighted mean of Kα1 and Kα2).
Intensities are scaled so that the largest is 100.

The 10 most intense peaks (2θ from 10° to 90°), low angle first:
Position (°2θ)  d/Å  I (rel.)
21.09  4.212  2
40.35  2.235  24
42.94  2.106  26
45.96  1.975  100
60.39  1.533  16
66.61  1.404  1
73.36  1.291  15
80.84  1.189  15
87.22  1.118  2
88.94  1.100  16

Structural model:
a = 2.5812 Å, b = 2.5812 Å, c = 4.2121 Å
α = 90.00°, β = 90.00°, γ = 120.00°
Fractional coordinates of all 3 atoms:
Mn (0.0000, 0.0000, 0.0000)
Cr (0.6667, 0.3333, 0.4625)
H (0.3333, 0.6667, 0.7373)

=====

The following is a simulated X-ray powder pattern of AcGaHIr2. It was derived from a crystal structure in Alexandria, relaxed with PBE, using Cu Kα (weighted mean of Kα1 and Kα2).
Intensities are scaled so that the largest is 100.

The 10 most intense peaks (2θ from 10° to 90°), low angle first:
Position (°2θ)  d/Å  I (rel.)
31.82  2.812  43
33.86  2.648  100
34.25  2.618  35
40.78  2.213  21
40.95  2.204  24
43.22  2.093  27
56.01  1.642  16
60.33  1.534  19
61.08  1.517  28
72.15  1.309  17

Structural model:
a = 6.0665 Å, b = 6.0665 Å, c = 7.1697 Å
α = 90.00°, β = 90.00°, γ = 139.63°
Fractional coordinates of all 10 atoms:
Ac (0.0662, 0.9338, 0.7500)
Ac (0.9338, 0.0662, 0.2500)
Ga (0.2133, 0.7867, 0.2500)
Ga (0.7867, 0.2133, 0.7500)
H (0.5000, 0.5000, 0.0000)
H (0.5000, 0.5000, 0.5000)
Ir (0.3389, 0.6611, 0.5523)
Ir (0.3389, 0.6611, 0.9477)
Ir (0.6611, 0.3389, 0.0523)
Ir (0.6611, 0.3389, 0.4477)